[1]
Theoretical powder X-ray diffraction pattern of NdDy2Ho3 for λ = 1.5418 Å (Cu Kα), from a crystal structure in Alexandria, relaxed with PBE.
Neutral-atom scattering factors, no anomalous dispersion.

Peak list (6 most intense, 2θ = 5–70°, sorted by position)
2θ (°)	d [Å]	intensity
31.57	2.834	100
31.84	2.811	72
32.01	2.796	36
56.52	1.628	19
56.66	1.624	19
62.69	1.482	26

Cell and atoms:
```
NdDy2Ho3
1.0
4.4770 -4.8763 0.0000
4.4770 4.8763 0.0000
-1.9441 0.0000 8.7159
Nd Dy Ho
2 4 6
direct
0.0965 0.9035 0.7500
0.9035 0.0965 0.2500
0.1277 0.6238 0.3754
0.3762 0.8723 0.1246
0.6238 0.1277 0.8754
0.8723 0.3762 0.6246
0.1591 0.3258 0.9926
0.3258 0.1591 0.4926
0.4283 0.5717 0.7500
0.5717 0.4283 0.2500
0.6742 0.8409 0.5074
0.8409 0.6742 0.0074
```

[2]
Theoretical powder X-ray diffraction pattern of Ac2PaN4 for λ = 1.5418 Å (Cu Kα), from a crystal structure in Alexandria, relaxed with PBE.
Neutral-atom scattering factors, no anomalous dispersion.

Peak list (6 most intense, 2θ = 5–70°, sorted by position)
2θ (°)	d [Å]	intensity
28.31	3.152	28
28.57	3.124	75
29.17	3.061	100
41.14	2.194	31
51.07	1.788	24
57.83	1.594	22

Cell and atoms:
```
Ac2PaN4
1.0
6.3045 0.0000 0.0000
0.0000 10.7901 0.0000
0.0000 0.0000 3.7078
Ac Pa N
4 2 8
direct
0.0550 0.1758 0.0000
0.4450 0.6758 0.0000
0.5550 0.3242 0.0000
0.9450 0.8242 0.0000
0.0000 0.5000 0.5000
0.5000 0.0000 0.5000
0.1431 0.6863 0.5000
0.2223 0.4596 0.0000
0.2777 0.9596 0.0000
0.3569 0.1863 0.5000
0.6431 0.8137 0.5000
0.7223 0.0404 0.0000
0.7777 0.5404 0.0000
0.8569 0.3137 0.5000
```